Record 1
# Nd10Si3Ge3
Computed PXRD pattern, Cu Kα. Input: a crystal structure in the Materials Project, relaxed with GGA-PBE.

Cell and atoms:
a = 8.839 Å, b = 8.839 Å, c = 6.683 Å
α = 90.00°, β = 90.00°, γ = 120.00°
Fractional positions:
Nd 0.000 0.245 0.000
Nd 0.000 0.755 0.500
Nd 0.245 0.000 0.000
Nd 0.245 0.245 0.500
Nd 0.333 0.667 0.253
Nd 0.333 0.667 0.747
Nd 0.667 0.333 0.253
Nd 0.667 0.333 0.747
Nd 0.755 0.000 0.500
Nd 0.755 0.755 0.000
Si 0.000 0.394 0.500
Si 0.394 0.000 0.500
Si 0.606 0.606 0.500
Ge 0.000 0.606 0.000
Ge 0.394 0.394 0.000
Ge 0.606 0.000 0.000

Main lines, in order of rising 2θ (10° ≤ 2θ ≤ 90°):
2theta, d [Å], Rel. int.
24.14, 3.686, 25
29.16, 3.062, 40
30.91, 2.893, 45
33.62, 2.665, 94
33.76, 2.655, 100
35.17, 2.552, 43
49.45, 1.843, 27
51.80, 1.765, 30
54.96, 1.671, 29
55.32, 1.661, 27

---

Record 2
# La4SbTe7
Computed PXRD pattern, Cu Kα. Input: a crystal structure in the Materials Project, relaxed with GGA-PBE.

Cell and atoms:
a = 4.524 Å, b = 4.524 Å, c = 18.817 Å
α = 90.00°, β = 90.00°, γ = 90.00°
Fractional positions:
La 0.000 0.500 0.137
La 0.000 0.500 0.639
La 0.500 0.000 0.361
La 0.500 0.000 0.863
Sb 0.000 0.000 0.500
Te 0.000 0.000 0.000
Te 0.000 0.500 0.316
Te 0.000 0.500 0.817
Te 0.500 0.000 0.183
Te 0.500 0.000 0.684
Te 0.500 0.500 0.000
Te 0.500 0.500 0.500

Main lines, in order of rising 2θ (10° ≤ 2θ ≤ 90°):
2theta, d [Å], Rel. int.
27.89, 3.199, 21
28.46, 3.136, 43
29.50, 3.028, 100
33.89, 2.645, 93
34.81, 2.577, 47
39.86, 2.262, 62
49.70, 1.834, 37
53.94, 1.700, 27
57.64, 1.599, 21
68.57, 1.369, 24

---

Record 3
# La2ZnRhO6
Computed PXRD pattern, Cu Kα. Input: a crystal structure in the Materials Project, relaxed with GGA-PBE.

Cell and atoms:
a = 5.592 Å, b = 5.795 Å, c = 9.716 Å
α = 90.00°, β = 125.10°, γ = 90.00°
Fractional positions:
La 0.237 0.057 0.251
La 0.237 0.443 0.751
La 0.763 0.557 0.249
La 0.763 0.943 0.749
Zn 0.500 0.000 0.000
Zn 0.500 0.500 0.500
Rh 0.000 0.000 0.500
Rh 0.000 0.500 0.000
O 0.142 0.209 0.949
O 0.142 0.291 0.449
O 0.246 0.698 0.951
O 0.246 0.802 0.451
O 0.340 0.028 0.746
O 0.340 0.472 0.246
O 0.660 0.528 0.754
O 0.660 0.972 0.254
O 0.754 0.198 0.549
O 0.754 0.302 0.049
O 0.858 0.709 0.551
O 0.858 0.791 0.051

Main lines, in order of rising 2θ (10° ≤ 2θ ≤ 90°):
2theta, d [Å], Rel. int.
30.86, 2.897, 21
31.64, 2.828, 100
32.01, 2.796, 25
45.06, 2.012, 22
45.65, 1.987, 14
51.34, 1.780, 11
55.38, 1.659, 11
56.83, 1.620, 34
66.08, 1.414, 12
75.54, 1.259, 11

---

Record 4
# K3FeSe3
Computed PXRD pattern, Cu Kα. Input: a crystal structure in the Materials Project, relaxed with GGA-PBE.

Cell and atoms:
a = 8.129 Å, b = 13.031 Å, c = 10.528 Å
α = 90.00°, β = 127.54°, γ = 90.00°
Fractional positions:
K 0.116 0.129 0.477
K 0.116 0.371 0.977
K 0.154 0.080 0.897
K 0.154 0.420 0.397
K 0.371 0.690 0.582
K 0.371 0.810 0.082
K 0.629 0.190 0.918
K 0.629 0.310 0.418
K 0.846 0.580 0.603
K 0.846 0.920 0.103
K 0.884 0.629 0.023
K 0.884 0.871 0.523
Fe 0.440 0.057 0.348
Fe 0.440 0.443 0.848
Fe 0.560 0.557 0.152
Fe 0.560 0.943 0.652
Se 0.150 0.173 0.192
Se 0.150 0.327 0.692
Se 0.344 0.612 0.875
Se 0.344 0.888 0.375
Se 0.374 0.549 0.260
Se 0.374 0.951 0.760
Se 0.626 0.049 0.240
Se 0.626 0.451 0.740
Se 0.656 0.112 0.625
Se 0.656 0.388 0.125
Se 0.850 0.673 0.308
Se 0.850 0.827 0.808

Main lines, in order of rising 2θ (10° ≤ 2θ ≤ 90°):
2theta, d [Å], Rel. int.
13.03, 6.795, 55
13.74, 6.446, 44
19.37, 4.582, 46
27.55, 3.237, 49
28.53, 3.129, 100
29.46, 3.031, 54
29.63, 3.015, 70
30.18, 2.961, 46
34.78, 2.579, 47
36.11, 2.487, 49

---

Record 5
# BaCaBiF7
Computed PXRD pattern, Cu Kα. Input: a crystal structure in the Materials Project, relaxed with GGA-PBE.

Cell and atoms:
a = 5.998 Å, b = 10.811 Å, c = 10.001 Å
α = 90.00°, β = 92.65°, γ = 90.00°
Fractional positions:
Ba 0.248 0.188 0.499
Ba 0.248 0.312 0.999
Ba 0.752 0.688 0.001
Ba 0.752 0.812 0.501
Ca 0.285 0.595 0.705
Ca 0.285 0.905 0.205
Ca 0.715 0.095 0.795
Ca 0.715 0.405 0.295
Bi 0.218 0.592 0.307
Bi 0.218 0.908 0.807
Bi 0.782 0.092 0.193
Bi 0.782 0.408 0.693
F 0.005 0.739 0.731
F 0.005 0.761 0.231
F 0.023 0.506 0.856
F 0.023 0.994 0.356
F 0.120 0.070 0.103
F 0.120 0.430 0.603
F 0.238 0.711 0.500
F 0.238 0.789 0.000
F 0.384 0.079 0.901
F 0.384 0.421 0.401
F 0.477 0.508 0.143
F 0.477 0.992 0.643
F 0.499 0.739 0.278
F 0.499 0.761 0.778
F 0.501 0.239 0.222
F 0.501 0.261 0.722
F 0.523 0.008 0.357
F 0.523 0.492 0.857
F 0.616 0.579 0.599
F 0.616 0.921 0.099
F 0.762 0.211 0.000
F 0.762 0.289 0.500
F 0.880 0.570 0.397
F 0.880 0.930 0.897
F 0.977 0.006 0.644
F 0.977 0.494 0.144
F 0.995 0.239 0.769
F 0.995 0.261 0.269

Main lines, in order of rising 2θ (10° ≤ 2θ ≤ 90°):
2theta, d [Å], Rel. int.
18.66, 4.754, 68
18.80, 4.720, 45
19.44, 4.565, 57
23.64, 3.764, 100
24.12, 3.690, 96
25.12, 3.545, 97
28.04, 3.182, 58
28.91, 3.088, 80
29.83, 2.996, 52
40.45, 2.230, 68

---

Record 6
# Cs2AsAuI6
Computed PXRD pattern, Cu Kα. Input: a crystal structure in the Materials Project, relaxed with GGA-PBE.

Cell and atoms:
a = 8.340 Å, b = 8.340 Å, c = 8.340 Å
α = 60.00°, β = 60.00°, γ = 60.00°
Fractional positions:
Cs 0.250 0.250 0.250
Cs 0.750 0.750 0.750
As 0.000 0.000 0.000
Au 0.500 0.500 0.500
I 0.248 0.248 0.752
I 0.248 0.752 0.248
I 0.248 0.752 0.752
I 0.752 0.248 0.248
I 0.752 0.248 0.752
I 0.752 0.752 0.248

Main lines, in order of rising 2θ (10° ≤ 2θ ≤ 90°):
2theta, d [Å], Rel. int.
15.02, 5.897, 23
21.31, 4.170, 23
26.17, 3.405, 64
30.31, 2.949, 100
33.99, 2.637, 13
43.40, 2.085, 74
51.39, 1.778, 29
53.85, 1.702, 26
71.55, 1.319, 33
79.65, 1.204, 25

---

Record 7
# SnH6N2F4
Computed PXRD pattern, Cu Kα. Input: a crystal structure in the Materials Project, relaxed with GGA-PBE.

Cell and atoms:
a = 5.246 Å, b = 6.384 Å, c = 8.463 Å
α = 90.00°, β = 113.73°, γ = 90.00°
Fractional positions:
Sn 0.000 0.000 0.000
Sn 0.000 0.500 0.500
H 0.184 0.123 0.455
H 0.184 0.377 0.955
H 0.272 0.151 0.669
H 0.272 0.349 0.169
H 0.461 0.235 0.072
H 0.461 0.265 0.572
H 0.539 0.735 0.428
H 0.539 0.765 0.928
H 0.728 0.651 0.831
H 0.728 0.849 0.331
H 0.816 0.623 0.045
H 0.816 0.877 0.545
N 0.263 0.224 0.558
N 0.263 0.276 0.058
N 0.737 0.724 0.942
N 0.737 0.776 0.442
F 0.009 0.501 0.741
F 0.009 0.999 0.241
F 0.337 0.687 0.576
F 0.337 0.813 0.076
F 0.663 0.187 0.924
F 0.663 0.313 0.424
F 0.991 0.001 0.759
F 0.991 0.499 0.259

Main lines, in order of rising 2θ (10° ≤ 2θ ≤ 90°):
2theta, d [Å], Rel. int.
18.01, 4.927, 100
18.47, 4.803, 52
22.30, 3.987, 53
22.97, 3.873, 51
29.10, 3.069, 23
33.72, 2.658, 42
35.10, 2.557, 17
45.49, 1.994, 19
47.38, 1.919, 18
55.51, 1.655, 18

---

Record 8
# Pb2Br2F
Computed PXRD pattern, Cu Kα. Input: a crystal structure in the Materials Project, relaxed with GGA-PBE.

Cell and atoms:
a = 3.934 Å, b = 3.934 Å, c = 14.326 Å
α = 90.00°, β = 90.00°, γ = 90.00°
Fractional positions:
Pb 0.000 0.000 0.169
Pb 0.000 0.000 0.831
Br 0.000 0.000 0.354
Br 0.000 0.000 0.646
F 0.000 0.000 0.000

Main lines, in order of rising 2θ (10° ≤ 2θ ≤ 90°):
2theta, d [Å], Rel. int.
12.36, 7.163, 30
22.60, 3.934, 100
25.84, 3.448, 23
29.42, 3.036, 16
32.18, 2.782, 41
33.85, 2.648, 19
44.38, 2.041, 29
50.36, 1.812, 20
51.97, 1.759, 21
65.95, 1.416, 18